Sr2Ag2BiP: theoretical powder diffraction line list (copper Kα), based on a GGA-PBE-relaxed structure.
No peak broadening, texture or thermal motion is included.

Crystal structure
a b c (Å): 4.720 4.720 8.542
angles (deg): 90.00 90.00 120.00
Fractional coordinates of all 6 atoms:
Sr 0.000 0.000 0.234
Sr 0.000 0.000 0.766
Ag 0.333 0.667 0.000
Ag 0.667 0.333 0.500
Bi 0.333 0.667 0.500
P 0.667 0.333 0.000

Largest 10 diffraction maxima, sorted by position, 2θ from 5° to 70°:
10.36 deg, I = 232, (0 0 1)
20.80 deg, I = 189, (0 0 2)
21.74 deg, I = 151, (1 0 0)
30.27 deg, I = 1000, (1 0 2)
38.14 deg, I = 586, (1 1 0)
42.33 deg, I = 139, (0 0 4)
43.83 deg, I = 162, (1 1 2)
49.44 deg, I = 253, (2 0 2)
58.27 deg, I = 319, (1 1 4)
64.10 deg, I = 232, (2 1 2)